Tb2Os3: simulated PXRD pattern (a wavelength of 1.5418 Å), based on a crystal structure in Alexandria, relaxed with PBE.
Neutral-atom scattering factors, no anomalous dispersion.

Cell and atoms:
```
Tb2Os3
1.0
2.6307 -5.0538 0.0000
2.6307 5.0538 0.0000
0.0000 0.0000 7.8096
Tb Os
4 6
Cartesian
2.6307 3.4675 7.0500
2.6307 1.5863 3.1453
2.6307 -1.5863 4.6643
2.6307 -3.4675 0.7595
0.0000 0.0000 3.9048
1.3153 0.9703 5.8572
1.3153 -0.9703 1.9524
2.6307 0.0000 0.0000
3.9460 0.9703 5.8572
3.9460 -0.9703 1.9524
```

Largest 10 diffraction maxima, in order of rising 2θ, 5 to 70 degrees two-theta:
- 5.054 Å, 17.5°, rel. 240
- 4.243 Å, 20.9°, rel. 274
- 2.995 Å, 29.8°, rel. 431
- 2.667 Å, 33.6°, rel. 1000
- 2.404 Å, 37.4°, rel. 277
- 2.314 Å, 38.9°, rel. 686
- 2.236 Å, 40.3°, rel. 833
- 2.182 Å, 41.4°, rel. 652
- 1.493 Å, 62.2°, rel. 241
- 1.419 Å, 65.8°, rel. 247